[1]
Diffraction record for PmHgH6Pd4. The powder XRD pattern is theoretical, not measured: it uses a cell relaxed with GGA-PBE and Cu Kα (λ = 1.5418 Å).
Kinematic intensities with the Lorentz-polarization factor, no thermal factor.

Principal peaks in the range 2θ = 10–80°, by intensity:
2θ (°)  d [Å]  I/Imax
33.93  2.642  100
37.63  2.390  83
51.56  1.773  30
65.56  1.424  30
12.90  6.862  18
67.92  1.380  15
67.16  1.394  12
21.46  4.140  8
45.29  2.002  8
39.94  2.257  8
55.61  1.653  7
58.21  1.585  6

Structural model:
```
12
Lattice="4.781 0.000 0.000 -2.390 4.140 0.000 0.000 0.000 6.862" Properties=species:S:1:pos:R:3 pbc="T T T"
Pm 0.000 0.000 0.000
Hg 0.000 0.000 3.431
H -1.195 2.070 0.976
H -1.195 2.070 5.886
H 2.390 0.000 0.976
H 2.390 0.000 5.886
H 1.195 2.070 0.976
H 1.195 2.070 5.886
Pd 0.000 2.760 2.053
Pd 0.000 2.760 4.809
Pd 2.390 1.380 2.053
Pd 2.390 1.380 4.809
```

---

[2]
Diffraction record for Pr2HgHPd6. The powder XRD pattern is theoretical, not measured: it uses a cell relaxed with GGA-PBE and Cu Kα (λ = 1.5418 Å).
Kinematic intensities with the Lorentz-polarization factor, no thermal factor.

Principal peaks in the range 2θ = 10–80°, by intensity:
2θ (°)  d [Å]  I/Imax
40.50  2.228  100
36.99  2.430  72
37.12  2.422  38
33.89  2.645  35
64.42  1.446  23
25.50  3.492  19
42.87  2.109  18
33.99  2.637  16
58.95  1.567  16
30.89  2.895  16
27.56  3.236  15
55.20  1.664  13

Structural model:
```
10
Lattice="5.784 0.000 0.000 2.880 5.020 0.000 2.868 1.655 6.472" Properties=species:S:1:pos:R:3 pbc="T T T"
Pr 2.898 1.682 1.941
Pr 8.634 4.993 4.531
Hg 5.766 3.337 3.236
H 0.000 0.000 0.000
Pd 5.735 4.990 5.380
Pd 4.283 2.470 5.324
Pd 4.340 4.201 1.104
Pd 7.192 2.474 5.368
Pd 7.249 4.205 1.148
Pd 5.797 1.685 1.092
```

---

[3]
Diffraction record for RbHgH2Pd2. The powder XRD pattern is theoretical, not measured: it uses a cell relaxed with GGA-PBE and Cu Kα (λ = 1.5418 Å).
Kinematic intensities with the Lorentz-polarization factor, no thermal factor.

Principal peaks in the range 2θ = 10–80°, by intensity:
2θ (°)  d [Å]  I/Imax
10.50  8.426  100
37.07  2.425  42
26.30  3.389  40
27.22  3.276  29
39.50  2.281  14
51.15  1.786  13
36.34  2.472  12
24.83  3.585  11
45.32  2.001  11
40.82  2.211  11
42.94  2.106  10
39.08  2.305  10

Structural model:
```
12
Lattice="5.024 0.000 0.000 0.000 5.703 0.000 -1.373 0.000 8.426" Properties=species:S:1:pos:R:3 pbc="T T T"
Rb 0.607 1.426 3.301
Rb 3.044 4.277 5.125
Hg 0.609 4.277 0.796
Hg 3.043 1.426 7.630
H 0.292 1.426 6.093
H 0.543 4.277 6.201
H 3.108 1.426 2.225
H 3.360 4.277 2.333
Pd 0.480 0.045 7.137
Pd 0.480 2.806 7.137
Pd 3.171 2.897 1.289
Pd 3.171 5.657 1.289
```

---

[4]
Diffraction record for SmHgH4Pd6. The powder XRD pattern is theoretical, not measured: it uses a cell relaxed with GGA-PBE and Cu Kα (λ = 1.5418 Å).
Kinematic intensities with the Lorentz-polarization factor, no thermal factor.

Principal peaks in the range 2θ = 10–80°, by intensity:
2θ (°)  d [Å]  I/Imax
37.03  2.428  100
35.15  2.553  74
44.21  2.049  39
58.99  1.566  33
74.30  1.277  23
66.73  1.402  18
77.72  1.229  15
65.52  1.425  12
78.85  1.214  11
18.27  4.856  9
48.21  1.888  7
61.82  1.501  7

Structural model:
```
12
Lattice="5.607 0.000 0.000 -2.804 4.856 0.000 0.000 0.000 6.003" Properties=species:S:1:pos:R:3 pbc="T T T"
Sm 0.000 0.000 0.000
Hg 0.000 0.000 3.001
H 0.000 3.237 0.939
H 0.000 3.237 5.064
H 2.804 1.619 0.939
H 2.804 1.619 5.064
Pd -1.402 2.428 1.593
Pd -1.402 2.428 4.410
Pd 2.804 0.000 1.593
Pd 2.804 0.000 4.410
Pd 1.402 2.428 1.593
Pd 1.402 2.428 4.410
```

---

[5]
Diffraction record for PmHgH7Rh2. The powder XRD pattern is theoretical, not measured: it uses a cell relaxed with GGA-PBE and Cu Kα (λ = 1.5418 Å).
Kinematic intensities with the Lorentz-polarization factor, no thermal factor.

Principal peaks in the range 2θ = 10–80°, by intensity:
2θ (°)  d [Å]  I/Imax
29.02  3.077  100
36.00  2.495  93
36.27  2.477  86
24.88  3.579  60
49.82  1.830  37
62.99  1.476  37
65.58  1.424  29
58.69  1.573  28
40.79  2.212  23
67.46  1.388  22
42.43  2.131  21
44.70  2.027  19

Structural model:
```
11
Lattice="-1.830 1.830 8.522 1.830 -1.830 8.522 1.830 1.830 -8.522" Properties=species:S:1:pos:R:3 pbc="T T T"
Pm 0.000 0.000 0.000
Hg 0.000 1.830 4.261
H 1.830 0.000 1.778
H 0.000 0.000 4.925
H 1.830 0.000 6.744
H 0.000 0.000 8.522
H 0.000 1.830 1.622
H 0.000 0.000 12.120
H 0.000 1.830 6.900
Rh 0.000 0.000 6.688
Rh 0.000 0.000 10.356
```

---

[6]
Diffraction record for HgH12Pt7. The powder XRD pattern is theoretical, not measured: it uses a cell relaxed with GGA-PBE and Cu Kα (λ = 1.5418 Å).
Kinematic intensities with the Lorentz-polarization factor, no thermal factor.

Principal peaks in the range 2θ = 10–80°, by intensity:
2θ (°)  d [Å]  I/Imax
35.16  2.553  100
18.70  4.746  98
44.90  2.019  74
41.82  2.160  61
23.82  3.735  54
30.46  2.935  51
40.85  2.209  50
44.60  2.032  43
58.33  1.582  38
29.50  3.028  27
22.61  3.932  27
48.76  1.868  26

Structural model:
```
20
Lattice="4.746 2.740 2.985 -4.746 2.740 2.985 0.000 -5.480 2.985" Properties=species:S:1:pos:R:3 pbc="T T T"
Hg 0.000 0.000 0.000
H -1.801 -3.130 4.468
H -3.611 -0.005 4.487
H -1.248 -0.718 3.267
H 1.246 -0.721 3.267
H 0.002 1.440 3.267
H -1.810 3.125 4.468
H 1.810 -3.125 4.487
H -0.002 -1.440 5.688
H -1.246 0.721 5.688
H 1.248 0.718 5.688
H 3.611 0.005 4.468
H 1.801 3.130 4.487
Pt -0.001 -1.666 2.271
Pt -1.443 0.834 2.271
Pt 1.443 0.832 2.271
Pt 0.000 0.000 4.478
Pt -1.443 -0.832 6.685
Pt 1.443 -0.834 6.685
Pt 0.001 1.666 6.685
```

---

[7]
Diffraction record for Hg2H5Pt4. The powder XRD pattern is theoretical, not measured: it uses a cell relaxed with GGA-PBE and Cu Kα (λ = 1.5418 Å).
Kinematic intensities with the Lorentz-polarization factor, no thermal factor.

Principal peaks in the range 2θ = 10–80°, by intensity:
2θ (°)  d [Å]  I/Imax
37.64  2.390  100
35.61  2.521  99
29.17  3.061  66
39.56  2.278  53
14.47  6.122  52
43.25  2.092  46
49.90  1.828  32
70.50  1.336  17
69.21  1.357  16
44.39  2.041  15
68.35  1.372  13
24.08  3.696  12

Structural model:
```
11
Lattice="4.983 -2.278 0.000 4.983 2.278 0.000 -0.552 0.000 6.122" Properties=species:S:1:pos:R:3 pbc="T T T"
Hg 0.844 0.000 1.394
Hg 8.571 0.000 4.728
H 3.162 1.183 1.984
H 6.252 1.183 4.138
H 4.707 0.000 3.061
H 3.162 -1.183 1.984
H 6.252 -1.183 4.138
Pt 2.041 0.000 5.202
Pt 4.330 0.000 1.363
Pt 5.084 0.000 4.759
Pt 7.373 0.000 0.921
```

---

[8]
Diffraction record for HgH3Pt3. The powder XRD pattern is theoretical, not measured: it uses a cell relaxed with GGA-PBE and Cu Kα (λ = 1.5418 Å).
Kinematic intensities with the Lorentz-polarization factor, no thermal factor.

Principal peaks in the range 2θ = 10–80°, by intensity:
2θ (°)  d [Å]  I/Imax
18.63  4.762  100
40.73  2.216  94
42.82  2.112  73
34.26  2.618  64
38.68  2.328  51
79.39  1.207  39
41.12  2.195  35
66.20  1.412  32
37.02  2.429  31
69.91  1.346  23
20.04  4.431  17
51.11  1.787  17

Structural model:
```
14
Lattice="2.823 1.630 6.983 -2.823 1.630 6.983 0.000 -3.260 6.983" Properties=species:S:1:pos:R:3 pbc="T T T"
Hg 0.000 0.000 3.459
Hg 0.000 0.000 17.490
H -1.317 -0.761 8.462
H 0.000 -1.521 12.487
H -1.317 0.761 12.487
H 1.317 -0.761 8.462
H 0.000 1.521 8.462
H 1.317 0.761 12.487
Pt 0.000 -1.656 5.856
Pt -1.434 0.828 5.856
Pt -1.434 -0.828 15.093
Pt 1.434 0.828 5.856
Pt 1.434 -0.828 15.093
Pt 0.000 1.656 15.093
```

---

[9]
Diffraction record for HgH2Pt. The powder XRD pattern is theoretical, not measured: it uses a cell relaxed with GGA-PBE and Cu Kα (λ = 1.5418 Å).
Kinematic intensities with the Lorentz-polarization factor, no thermal factor.

Principal peaks in the range 2θ = 10–80°, by intensity:
2θ (°)  d [Å]  I/Imax
29.98  2.981  100
38.67  2.328  92
38.32  2.349  73
39.49  2.282  49
21.98  4.044  47
48.72  1.869  38
41.37  2.183  38
58.52  1.577  31
60.07  1.540  24
61.92  1.499  18
68.02  1.378  17
76.19  1.250  16

Structural model:
```
8
Lattice="0.000 4.365 4.080 2.752 0.000 4.080 2.752 4.365 0.000" Properties=species:S:1:pos:R:3 pbc="T T T"
Hg 0.000 0.000 0.000
Hg 1.376 2.183 2.040
H 2.712 3.217 4.425
H 4.169 5.399 6.465
H 2.793 5.513 4.425
H 4.088 7.696 6.465
Pt 2.752 4.365 3.136
Pt 4.129 6.548 5.176
```

---

[10]
Diffraction record for PuHgH7Rh2. The powder XRD pattern is theoretical, not measured: it uses a cell relaxed with GGA-PBE and Cu Kα (λ = 1.5418 Å).
Kinematic intensities with the Lorentz-polarization factor, no thermal factor.

Principal peaks in the range 2θ = 10–80°, by intensity:
2θ (°)  d [Å]  I/Imax
29.17  3.061  100
35.99  2.495  88
36.64  2.452  83
25.15  3.541  42
63.52  1.465  34
50.45  1.809  32
59.34  1.557  28
65.29  1.429  26
41.95  2.154  21
67.64  1.385  21
20.62  4.307  21
44.52  2.035  19

Structural model:
```
11
Lattice="-1.809 1.809 8.615 1.809 -1.809 8.615 1.809 1.809 -8.615" Properties=species:S:1:pos:R:3 pbc="T T T"
Pu 0.000 0.000 0.000
Hg 0.000 1.809 4.307
H 1.809 0.000 1.789
H 0.000 0.000 4.984
H 1.809 0.000 6.826
H 0.000 0.000 8.615
H 0.000 1.809 1.621
H 0.000 0.000 12.246
H 0.000 1.809 6.994
Rh 0.000 0.000 6.746
Rh 0.000 0.000 10.484
```